1.
This entry pairs a crystal structure of Li2Er3Zn9 with its computed powder XRD pattern. Radiation: Cu Kα (weighted mean of Kα1 and Kα2). Structure: a DFT-relaxed cell (GGA-PBE, Alexandria).
Lines closer than 0.1° are merged.

Principal peaks in the range 2θ from 15° to 90°, sorted by position:
- 28.5°, I 300
- 34.2°, I 529
- 35.5°, I 1000
- 37.4°, I 657
- 39.9°, I 148
- 40.7°, I 378
- 47.6°, I 122
- 54.2°, I 280
- 69.6°, I 193
- 70.6°, I 130

Structure:
```
Li2Er3Zn9
1.0
-2.219 4.291 6.611
2.219 -4.291 6.611
2.219 4.291 -6.611
Li Er Zn
2 3 9
Direct
0.179 0.000 0.179
0.821 0.000 0.821
0.219 0.219 0.000
0.500 0.500 0.000
0.781 0.781 0.000
0.000 0.500 0.500
0.074 0.364 0.710
0.198 0.844 0.354
0.346 0.636 0.710
0.489 0.844 0.646
0.511 0.156 0.354
0.654 0.364 0.290
0.802 0.156 0.646
0.926 0.636 0.290
```

***

2.
This entry pairs a crystal structure of HoMg3Cd with its computed powder XRD pattern. Radiation: Cu Kα (weighted mean of Kα1 and Kα2). Structure: a DFT-relaxed cell (GGA-PBE, Alexandria).
Lines closer than 0.1° are merged.

Principal peaks in the range 2θ from 15° to 90°, sorted by position:
- 19.6°, I 923
- 29.5°, I 424
- 31.8°, I 755
- 33.1°, I 906
- 35.1°, I 1000
- 35.3°, I 513
- 35.7°, I 655
- 37.9°, I 465
- 42.0°, I 364
- 66.5°, I 337

Structure:
```
HoMg3Cd
1.0
7.912 0.000 0.000
0.000 3.367 0.000
-2.805 0.000 9.078
Ho Mg Cd
2 6 2
Direct
0.135 0.000 0.159
0.865 0.500 0.841
0.095 0.001 0.647
0.312 0.502 0.926
0.317 0.501 0.481
0.683 0.001 0.519
0.688 0.002 0.074
0.905 0.501 0.353
0.499 0.999 0.749
0.501 0.499 0.251
```

***

3.
This entry pairs a crystal structure of KCa12Si4S2O26F with its computed powder XRD pattern. Radiation: Cu Kα (weighted mean of Kα1 and Kα2). Structure: a DFT-relaxed cell (GGA-PBE, Alexandria).
Lines closer than 0.1° are merged.

Principal peaks in the range 2θ from 15° to 90°, sorted by position:
- 24.6°, I 209
- 25.7°, I 149
- 28.5°, I 445
- 31.4°, I 338
- 32.2°, I 1000
- 33.3°, I 254
- 41.9°, I 409
- 45.3°, I 357
- 50.4°, I 583
- 61.1°, I 324

Structure:
```
KCa12Si4S2O26F
1.0
3.621 2.090 13.893
-3.621 2.090 13.893
0.000 -4.181 13.893
K Ca Si S O F
1 12 4 2 26 1
Direct
0.000 0.000 0.000
0.083 0.556 0.556
0.225 0.688 0.688
0.312 0.312 0.775
0.312 0.775 0.312
0.444 0.444 0.917
0.444 0.917 0.444
0.556 0.083 0.556
0.556 0.556 0.083
0.688 0.225 0.688
0.688 0.688 0.225
0.775 0.312 0.312
0.917 0.444 0.444
0.083 0.083 0.083
0.204 0.204 0.204
0.796 0.796 0.796
0.917 0.917 0.917
0.323 0.323 0.323
0.677 0.677 0.677
0.059 0.682 0.682
0.123 0.123 0.123
0.180 0.801 0.801
0.199 0.199 0.534
0.199 0.199 0.820
0.199 0.534 0.199
0.199 0.820 0.199
0.244 0.244 0.244
0.318 0.318 0.941
0.318 0.941 0.318
0.359 0.359 0.359
0.432 0.432 0.432
0.466 0.801 0.801
0.534 0.199 0.199
0.568 0.568 0.568
0.641 0.641 0.641
0.682 0.059 0.682
0.682 0.682 0.059
0.756 0.756 0.756
0.801 0.180 0.801
0.801 0.466 0.801
0.801 0.801 0.180
0.801 0.801 0.466
0.820 0.199 0.199
0.877 0.877 0.877
0.941 0.318 0.318
0.500 0.500 0.500
```